Entry 1:
PaSn2Pt2: computed PXRD pattern (Cu Kα (λ = 1.5418 Å)), based on a cell relaxed with PBE.
Lines closer than 0.1° are merged.

Crystal structure
Cell: 4.9972 4.4365 10.4807 Å, 90.00 93.58 90.00°
Space group P2_1/m (No. 11)
Inequivalent atoms, fractional coordinates:
Pa  0.2058  0.2500  0.1526 [2 per cell]
Sn  0.2491  0.2500  0.4984 [2 per cell]
Sn  0.2873  0.2500  0.7976 [2 per cell]
Pt  0.2327  0.7500  0.3368 [2 per cell]
Pt  0.2954  0.7500  0.9636 [2 per cell]

Most intense lines, 2θ = 5–70°, most intense first:
hkl 1 1 3, d = 2.354 Å, I 1000
hkl 1 1 -3, d = 2.454 Å, I 924
hkl 0 1 2, d = 3.383 Å, I 653
hkl 2 0 0, d = 2.494 Å, I 554
hkl 0 2 0, d = 2.218 Å, I 488
hkl 0 0 1, d = 10.460 Å, I 440
hkl 2 2 0, d = 1.657 Å, I 330
hkl 2 1 -2, d = 2.047 Å, I 237
hkl 1 0 -5, d = 1.973 Å, I 233
hkl 1 0 1, d = 4.396 Å, I 197


Entry 2:
CaPd2F11: computed PXRD pattern (Cu Kα (λ = 1.5418 Å)), based on a cell relaxed with PBE.
Lines closer than 0.1° are merged.

Crystal structure
Cell: 8.9204 8.9234 10.3817 Å, 90.00 90.00 90.00°
Space group Ibam (No. 72)
Inequivalent atoms, fractional coordinates:
Ca  0.0000  0.0000  0.2500 [4 per cell]
Pd  0.1622  0.3373  0.0000 [8 per cell]
F  0.0000  0.5000  0.0000 [4 per cell]
F  0.0561  0.2261  0.1315 [16 per cell]
F  0.1906  0.3106  0.5000 [8 per cell]
F  0.2261  0.0571  0.3684 [16 per cell]

Most intense lines, 2θ = 5–70°, most intense first:
hkl 2 1 1, d = 3.724 Å, I 1000
hkl 0 0 2, d = 5.191 Å, I 483
hkl 1 1 2, d = 4.008 Å, I 363
hkl 0 2 2, d = 3.383 Å, I 307
hkl 3 3 2, d = 1.949 Å, I 260
hkl 2 2 4, d = 2.004 Å, I 164
hkl 1 3 4, d = 1.910 Å, I 157
hkl 1 4 3, d = 1.835 Å, I 156
hkl 2 1 3, d = 2.614 Å, I 151
hkl 3 3 4, d = 1.635 Å, I 144


Entry 3:
Mg4AgPdRh2: computed PXRD pattern (Cu Kα (λ = 1.5418 Å)), based on a cell relaxed with PBE.
Lines closer than 0.1° are merged.

Crystal structure
Cell: 4.4857 4.4857 22.0023 Å, 90.00 90.00 120.00°
Space group R-3m (No. 166, hexagonal axes)
Inequivalent atoms, fractional coordinates:
Mg  0.0000  0.0000  0.1224 [6 per cell]
Mg  0.0000  0.0000  0.3725 [6 per cell]
Ag  0.0000  0.0000  0.5000 [3 per cell]
Pd  0.0000  0.0000  0.0000 [3 per cell]
Rh  0.0000  0.0000  0.2486 [6 per cell]

Most intense lines, 2θ = 5–70°, most intense first:
hkl 1 1 0, d = 2.244 Å, I 1000
hkl 1 0 4, d = 3.173 Å, I 502
hkl 1 1 12, d = 1.419 Å, I 172
hkl 2 0 8, d = 1.587 Å, I 163
hkl 0 0 12, d = 1.832 Å, I 135


Entry 4:
BC3: computed PXRD pattern (Cu Kα (λ = 1.5418 Å)), based on a cell relaxed with PBE.
Lines closer than 0.1° are merged.

Crystal structure
Cell: 2.5317 2.5317 26.5365 Å, 90.00 90.00 120.00°
Space group R-3m (No. 166, hexagonal axes)
Inequivalent atoms, fractional coordinates:
B  0.0000  0.0000  0.1473 [6 per cell]
C  0.0000  0.0000  0.0876 [6 per cell]
C  0.0000  0.0000  0.3430 [6 per cell]
C  0.0000  0.0000  0.4014 [6 per cell]

Most intense lines, 2θ = 5–70°, most intense first:
hkl 1 0 4, d = 2.082 Å, I 1000
hkl 0 0 3, d = 8.845 Å, I 598
hkl 0 0 12, d = 2.211 Å, I 276
hkl 0 0 6, d = 4.423 Å, I 56
hkl 0 0 15, d = 1.769 Å, I 44
hkl 1 0 7, d = 1.898 Å, I 18
hkl 1 0 13, d = 1.494 Å, I 11
hkl 0 1 14, d = 1.434 Å, I 7
hkl 0 0 18, d = 1.474 Å, I 6
hkl 0 1 5, d = 2.026 Å, I 5


Entry 5:
LiFe4Rh: computed PXRD pattern (Cu Kα (λ = 1.5418 Å)), based on a cell relaxed with PBE.
Lines closer than 0.1° are merged.

Crystal structure
Cell: 6.7043 6.7043 6.7043 Å, 90.00 90.00 90.00°
Space group F-43m (No. 216)
Inequivalent atoms, fractional coordinates:
Li  0.0000  0.0000  0.0000 [4 per cell]
Fe  0.1257  0.1257  0.3743 [16 per cell]
Rh  0.2500  0.2500  0.7500 [4 per cell]

Most intense lines, 2θ = 5–70°, most intense first:
hkl 3 1 1, d = 2.021 Å, I 1000
hkl 2 2 2, d = 1.935 Å, I 433
hkl 1 1 1, d = 3.871 Å, I 308
hkl 2 0 0, d = 3.352 Å, I 258
hkl 2 2 0, d = 2.370 Å, I 231
hkl 4 2 0, d = 1.499 Å, I 85
hkl 4 2 2, d = 1.369 Å, I 78
hkl 3 3 1, d = 1.538 Å, I 63
hkl 4 0 0, d = 1.676 Å, I 44


Entry 6:
Dy2YUO8: computed PXRD pattern (Cu Kα (λ = 1.5418 Å)), based on a cell relaxed with PBE.
Lines closer than 0.1° are merged.

Crystal structure
Cell: 3.8625 5.3292 7.5449 Å, 90.00 90.00 90.00°
Space group Pmmm (No. 47)
Inequivalent atoms, fractional coordinates:
Dy  0.0000  0.0000  0.2499 [2 per cell]
Y  0.5000  0.5000  0.0000 [1 per cell]
U  0.5000  0.5000  0.5000 [1 per cell]
O  0.0000  0.2485  0.0000 [2 per cell]
O  0.0000  0.2680  0.5000 [2 per cell]
O  0.5000  0.2584  0.2720 [4 per cell]

Most intense lines, 2θ = 5–70°, most intense first:
hkl 1 1 0, d = 3.127 Å, I 1000
hkl 0 1 2, d = 3.079 Å, I 960
hkl 1 2 2, d = 1.896 Å, I 676
hkl 1 3 0, d = 1.615 Å, I 437
hkl 1 0 2, d = 2.699 Å, I 423
hkl 2 1 2, d = 1.636 Å, I 304
hkl 0 2 0, d = 2.665 Å, I 203
hkl 0 0 1, d = 7.545 Å, I 186
hkl 2 0 0, d = 1.931 Å, I 181
hkl 0 0 4, d = 1.886 Å, I 164